Simulated X-ray diffraction stick pattern
Compound: La4NiBrCl2
Radiation: Cu Kα (weighted mean of Kα1 and Kα2)
Structure: the PBE geometry in Alexandria

Main lines, in order of rising 2θ (5° ≤ 2θ ≤ 70°):
two_theta, I_rel, (hkl)
23.49, 13, 0 0 2
26.36, 26, 1 1 -1
26.53, 12, 2 0 0
29.36, 56, 2 0 -2
29.99, 100, 1 1 1
40.53, 38, 1 1 -3
41.23, 16, 2 0 2
44.33, 36, 3 1 -1
44.57, 18, 0 2 0
54.27, 19, 2 2 -2

Atomic structure:
```
data_La4NiBrCl2
_cell_length_a 7.093
_cell_length_b 4.066
_cell_length_c 7.994
_cell_angle_alpha 90.00
_cell_angle_beta 108.65
_cell_angle_gamma 90.00
_space_group_name_H-M_alt 'P 1'
_space_group_IT_number 1
_space_group_name_Hall 'P 1'
loop_
_atom_site_label
_atom_site_type_symbol
_atom_site_fract_x
_atom_site_fract_y
_atom_site_fract_z
La1 La 0.230 0.000 0.210
La2 La 0.267 0.500 0.778
La3 La 0.733 0.500 0.222
La4 La 0.770 0.000 0.790
Ni1 Ni 0.000 0.500 0.000
Br1 Br 0.000 0.000 0.500
Cl1 Cl 0.500 0.000 0.000
Cl2 Cl 0.500 0.500 0.500
```